# 1
Starting from a cell relaxed with GGA-PBE, the powder X-ray diffraction pattern of Na2Sm2MgTi3O10 was simulated for λ = 1.5418 Å (Cu Kα).

Peak list (12 most intense, 2θ from 15° to 90°, in order of falling intensity)
Position (°2θ), intensity
26.9, 100
32.3, 77
46.4, 59
34.5, 53
30.4, 36
59.1, 33
43.7, 32
22.9, 29
54.4, 28
39.2, 27
67.7, 23
36.8, 21

```
Na2Sm2MgTi3O10
1.0
-1.9577 1.9577 15.6402
1.9577 -1.9577 15.6402
1.9577 1.9577 -15.6402
Na Sm Mg Ti O
2 2 1 3 10
Cartesian
0.0000 0.0000 6.7579
0.0000 0.0000 24.5224
0.0000 0.0000 3.0378
0.0000 0.0000 28.2426
0.0000 0.0000 0.0000
0.0000 0.0000 10.8047
0.0000 0.0000 15.6402
0.0000 0.0000 20.4756
1.9577 0.0000 0.0000
1.9577 0.0000 4.3685
0.0000 0.0000 9.0443
1.9577 0.0000 11.2717
0.0000 0.0000 13.5355
0.0000 1.9577 0.0000
0.0000 0.0000 17.7448
0.0000 1.9577 4.3685
0.0000 0.0000 22.2360
0.0000 1.9577 11.2717
```

# 2
Starting from a cell relaxed with GGA-PBE, the powder X-ray diffraction pattern of Na2Sm2MgTi3O10 was simulated for λ = 1.5418 Å (Cu Kα).

Peak list (12 most intense, 2θ from 15° to 90°, in order of falling intensity)
Position (°2θ), intensity
33.1, 100
29.6, 28
47.6, 26
23.4, 21
20.6, 20
15.4, 20
59.1, 17
39.4, 16
59.2, 15
42.5, 14
26.7, 14
54.5, 10

```
Na2Sm2MgTi3O10
1.0
2.7045 -2.6993 0.0000
2.7045 2.6993 0.0000
-2.6873 0.0000 17.2365
Na Sm Mg Ti O
2 2 1 3 10
Cartesian
0.0000 0.0000 0.0000
2.7211 0.0000 2.1023
2.7529 0.0000 6.0214
2.5542 0.0000 10.1965
2.8016 0.0000 13.7605
0.0573 0.0000 4.0630
-0.0206 0.0000 8.3898
0.0924 0.0000 15.2526
0.0675 0.0000 2.2857
1.4090 1.3530 4.5553
0.0828 0.0000 6.4685
1.3293 1.3831 8.5314
0.1861 0.0000 10.4272
1.4467 1.3490 14.6742
0.1038 0.0000 17.0167
1.4090 -1.3530 4.5553
1.3293 -1.3831 8.5314
1.4467 -1.3490 14.6742
```

# 3
Starting from a cell relaxed with GGA-PBE, the powder X-ray diffraction pattern of NaMg6TiO8 was simulated for λ = 1.5418 Å (Cu Kα).

Peak list (12 most intense, 2θ from 15° to 90°, in order of falling intensity)
Position (°2θ), intensity
41.8, 100
60.8, 53
42.0, 47
60.7, 28
76.5, 24
36.1, 22
72.7, 8
23.0, 6
31.1, 6
72.8, 4
20.6, 4
29.3, 3

```
NaMg6TiO8
1.0
4.3173 0.0000 0.0000
0.0000 4.3173 0.0000
0.0000 0.0000 8.6076
Na Mg Ti O
1 6 1 8
Cartesian
0.0000 0.0000 0.0000
0.0000 2.1587 2.0496
0.0000 2.1587 6.5580
2.1587 0.0000 2.0496
2.1587 0.0000 6.5580
2.1587 2.1587 0.0000
2.1587 2.1587 4.3038
0.0000 0.0000 4.3038
0.0000 0.0000 2.3326
0.0000 0.0000 6.2750
0.0000 2.1587 0.0000
0.0000 2.1587 4.3038
2.1587 0.0000 0.0000
2.1587 0.0000 4.3038
2.1587 2.1587 2.1847
2.1587 2.1587 6.4228
```

# 4
Starting from a cell relaxed with GGA-PBE, the powder X-ray diffraction pattern of NaMg14TiO16 was simulated for λ = 1.5418 Å (Cu Kα).

Peak list (11 most intense, 2θ from 15° to 90°, in order of falling intensity)
Position (°2θ), intensity
42.2, 100
61.2, 56
77.2, 16
36.3, 13
73.3, 8
23.2, 2
31.3, 2
62.3, 1
20.7, 1
29.5, 1
48.7, 1

```
NaMg14TiO16
1.0
8.5689 0.0000 0.0000
0.0000 8.5689 0.0000
0.0000 0.0000 4.2783
Na Mg Ti O
1 14 1 16
Cartesian
0.0000 0.0000 0.0000
0.0000 2.0997 2.1392
0.0000 4.2845 0.0000
0.0000 6.4693 2.1392
2.0870 2.0870 0.0000
2.0921 4.2845 2.1392
2.0870 6.4819 0.0000
2.0997 0.0000 2.1392
4.2845 0.0000 0.0000
4.2845 2.0921 2.1392
4.2845 6.4769 2.1392
6.4693 0.0000 2.1392
6.4819 2.0870 0.0000
6.4769 4.2845 2.1392
6.4819 6.4819 0.0000
4.2845 4.2845 0.0000
0.0000 0.0000 2.1392
0.0000 2.2779 0.0000
0.0000 4.2845 2.1392
0.0000 6.2911 0.0000
2.1586 2.1586 2.1392
2.1586 6.4103 2.1392
2.2189 4.2845 0.0000
2.2779 0.0000 0.0000
4.2845 0.0000 2.1392
4.2845 2.2189 0.0000
4.2845 4.2845 2.1392
4.2845 6.3500 0.0000
6.2911 0.0000 0.0000
6.3500 4.2845 0.0000
6.4103 2.1586 2.1392
6.4103 6.4103 2.1392
```